For SmCuNi5, a PBE-relaxed structure gives the computed PXRD pattern in this record (Cu Kα (λ = 1.5418 Å)).
Intensities are scaled so that the largest is 100.

Largest 6 diffraction maxima, in order of falling intensity, 2θ = 15–90°:
2θ 40.1, d = 2.248 Å, I = 100, (3 1 1); 2θ 47.1, d = 1.929 Å, I = 44, (4 0 1); 2θ 37.9, d = 2.372 Å, I = 33, (1 0 4); 2θ 47.8, d = 1.903 Å, I = 21, (1 2 3); 2θ 68.7, d = 1.366 Å, I = 21, (3 3 1); 2θ 37.0, d = 2.432 Å, I = 20, (0 2 0)

```
data_SmCuNi5
_chemical_formula_sum 'Sm4 Cu4 Ni20'
_cell_length_a 7.8624
_cell_length_b 4.8634
_cell_length_c 9.9500
_cell_angle_alpha 90.00
_cell_angle_beta 90.00
_cell_angle_gamma 90.00
_symmetry_space_group_name_H-M 'P n m a'
_symmetry_Int_Tables_number 62
loop_
_symmetry_equiv_pos_as_xyz
'x,y,z'
'-x,-y,-z'
'-x+1/2,-y,z+1/2'
'x+1/2,y,-z+1/2'
'x+1/2,-y+1/2,-z+1/2'
'-x+1/2,y+1/2,z+1/2'
'-x,y+1/2,-z'
'x,-y+1/2,z'
loop_
_atom_site_label
_atom_site_type_symbol
_atom_site_fract_x
_atom_site_fract_y
_atom_site_fract_z
Sm1 Sm 0.2402 0.2500 0.0599
Cu1 Cu 0.1435 0.7500 0.8554
Ni1 Ni 0.0599 0.7500 0.0994
Ni2 Ni 0.0671 0.0044 0.3104
Ni3 Ni 0.1010 0.2500 0.5185
Ni4 Ni 0.1835 0.2500 0.7539
```